The following is a simulated XRD peak list of Ba3Sb4O. It was derived from a structure optimized by DFT (PBE), using Cu Kα X-rays.

Top 10 peaks for 2θ from 10° to 90°, low angle first:
hkl 1 0 2, 2θ = 23.5°, rel. 31
hkl 1 3 -2, 2θ = 25.7°, rel. 100
hkl 2 1 -1, 2θ = 26.1°, rel. 29
hkl 2 0 0, 2θ = 27.1°, rel. 25
hkl 0 4 1, 2θ = 28.0°, rel. 27
hkl 0 3 3, 2θ = 30.2°, rel. 45
hkl 0 1 4, 2θ = 30.6°, rel. 44
hkl 2 0 -4, 2θ = 31.9°, rel. 26
hkl 2 3 -1, 2θ = 32.4°, rel. 84
hkl 2 1 -4, 2θ = 32.6°, rel. 29

Atomic structure:
Unit cell a=7.120 b=13.231 c=12.946 alpha=90.00 beta=112.22 gamma=90.00
Space group P2_1/c (No. 14)
One atom of each set of equivalent atoms:
Ba  0.109  0.047  0.216 x4
Ba  0.297  0.557  0.050 x4
Ba  0.304  0.241  0.976 x4
Sb  0.147  0.157  0.685 x4
Sb  0.206  0.735  0.767 x4
Sb  0.226  0.663  0.562 x4
Sb  0.431  0.024  0.852 x4
O  0.331  0.082  0.416 x4

***

The following is a simulated XRD peak list of PmTlIr. It was derived from a structure optimized by DFT (PBE), using Cu Kα X-rays.

Top 10 peaks for 2θ from 10° to 90°, low angle first:
hkl 0 0 1, 2θ = 25.8°, rel. 16
hkl 1 0 1, 2θ = 33.7°, rel. 100
hkl 1 1 0, 2θ = 37.4°, rel. 93
hkl 1 1 1, 2θ = 46.0°, rel. 21
hkl 2 0 1, 2θ = 51.2°, rel. 31
hkl 0 0 2, 2θ = 53.1°, rel. 12
hkl 2 1 1, 2θ = 65.1°, rel. 30
hkl 1 1 2, 2θ = 66.7°, rel. 35
hkl 3 0 0, 2θ = 67.5°, rel. 17
hkl 3 1 1, 2θ = 89.5°, rel. 13

Atomic structure:
Unit cell a=4.8091 b=4.8091 c=3.4519 alpha=90.00 beta=90.00 gamma=120.00
Space group P-6m2 (No. 187)
One atom of each set of equivalent atoms:
Pm  0.0000  0.0000  0.0000 x1
Tl  0.6667  0.3333  0.5000 x1
Ir  0.3333  0.6667  0.5000 x1

***

The following is a simulated XRD peak list of MnAgBr3. It was derived from a structure optimized by DFT (PBE), using Cu Kα X-rays.

Top 10 peaks for 2θ from 10° to 90°, low angle first:
hkl 0 0 1, 2θ = 13.4°, rel. 49
hkl 1 3 0, 2θ = 25.7°, rel. 60
hkl 0 0 2, 2θ = 26.9°, rel. 100
hkl 2 2 -1, 2θ = 29.5°, rel. 41
hkl 2 0 -2, 2θ = 30.7°, rel. 67
hkl 1 3 1, 2θ = 31.3°, rel. 88
hkl 0 4 2, 2θ = 40.2°, rel. 36
hkl 2 2 -3, 2θ = 43.0°, rel. 33
hkl 0 6 0, 2θ = 44.5°, rel. 39
hkl 3 3 -1, 2θ = 44.6°, rel. 74

Atomic structure:
Unit cell a=7.032 b=12.225 c=7.092 alpha=90.00 beta=111.00 gamma=90.00
Space group C2/m (No. 12)
One atom of each set of equivalent atoms:
Mn  0.000  0.168  0.000 x4
Ag  0.084  0.500  0.234 x4
Br  0.210  0.000  0.240 x4
Br  0.229  0.187  0.766 x8

***

The following is a simulated XRD peak list of Tb8PrTm3. It was derived from a structure optimized by DFT (PBE), using Cu Kα X-rays.

Top 10 peaks for 2θ from 10° to 90°, low angle first:
hkl 1 1 2, 2θ = 22.3°, rel. 21
hkl 0 0 4, 2θ = 31.4°, rel. 49
hkl 1 3 2, 2θ = 31.7°, rel. 100
hkl 2 0 2, 2θ = 31.9°, rel. 67
hkl 2 2 2, 2θ = 35.8°, rel. 33
hkl 2 2 4, 2θ = 45.5°, rel. 19
hkl 3 3 2, 2θ = 51.6°, rel. 22
hkl 1 3 6, 2θ = 56.1°, rel. 17
hkl 2 6 0, 2θ = 56.7°, rel. 18
hkl 2 6 4, 2θ = 66.3°, rel. 22

Atomic structure:
Unit cell a=6.444 b=11.269 c=11.385 alpha=90.00 beta=90.00 gamma=90.00
Space group Immm (No. 71)
One atom of each set of equivalent atoms:
Tb  0.000  0.168  0.249 x8
Tb  0.244  0.261  0.500 x8
Pr  0.000  0.000  0.500 x2
Tm  0.000  0.000  0.000 x2
Tm  0.000  0.500  0.262 x4